Computed X-ray powder pattern
Compound: Sr5Bi2N
Radiation: Cu Kα
Structure: a PBE-relaxed structure
No peak broadening, texture or thermal motion is included.

Structural model:
abc: 8.137 8.137 14.612
angles: 90.00 90.00 134.07
Positions (direct):
Sr  0.060  0.940  0.629
Sr  0.060  0.940  0.871
Sr  0.297  0.703  0.250
Sr  0.301  0.699  0.615
Sr  0.301  0.699  0.885
Sr  0.699  0.301  0.115
Sr  0.699  0.301  0.385
Sr  0.703  0.297  0.750
Sr  0.940  0.060  0.129
Sr  0.940  0.060  0.371
Bi  0.157  0.843  0.073
Bi  0.157  0.843  0.427
Bi  0.843  0.157  0.573
Bi  0.843  0.157  0.927
N  0.183  0.817  0.750
N  0.817  0.183  0.250

The 10 most intense peaks (2θ = 5–70°), most intense first:
Position (°2θ)	d/Å	I_rel
15.15	5.846	100.0
28.11	3.175	88.2
21.76	4.084	83.7
30.10	2.969	80.4
41.65	2.169	66.5
38.00	2.368	62.2
34.31	2.614	58.9
11.81	7.492	57.2
35.83	2.506	48.1
25.76	3.458	47.1

***

Computed X-ray powder pattern
Compound: Nd2NbCr2N6
Radiation: Cu Kα
Structure: a PBE-relaxed structure
No peak broadening, texture or thermal motion is included.

Structural model:
abc: 6.250 6.250 6.250
angles: 55.25 55.25 55.25
Positions (direct):
Nd  0.214  0.214  0.214
Nd  0.786  0.786  0.786
Nb  0.000  0.000  0.000
Cr  0.434  0.434  0.434
Cr  0.566  0.566  0.566
N  0.240  0.756  0.756
N  0.244  0.244  0.760
N  0.244  0.760  0.244
N  0.756  0.240  0.756
N  0.756  0.756  0.240
N  0.760  0.244  0.244

The 10 most intense peaks (2θ = 5–70°), most intense first:
Position (°2θ)	d/Å	I_rel
30.86	2.898	100.0
33.45	2.679	60.7
28.72	3.109	31.7
56.55	1.628	27.5
46.15	1.967	24.5
61.67	1.504	24.4
42.65	2.120	22.1
54.87	1.673	19.3
64.29	1.449	16.3
53.56	1.711	11.6

***

Computed X-ray powder pattern
Compound: Ba2ErCu3F12
Radiation: Cu Kα
Structure: a PBE-relaxed structure
No peak broadening, texture or thermal motion is included.

Structural model:
abc: 8.477 8.477 8.477
angles: 45.73 45.73 45.73
Positions (direct):
Ba  0.116  0.116  0.116
Ba  0.884  0.884  0.884
Er  0.500  0.500  0.500
Cu  0.000  0.500  0.500
Cu  0.500  0.000  0.500
Cu  0.500  0.500  0.000
F  0.123  0.624  0.624
F  0.152  0.152  0.597
F  0.152  0.597  0.152
F  0.376  0.376  0.877
F  0.376  0.877  0.376
F  0.403  0.848  0.848
F  0.597  0.152  0.152
F  0.624  0.123  0.624
F  0.624  0.624  0.123
F  0.848  0.403  0.848
F  0.848  0.848  0.403
F  0.877  0.376  0.376

The 10 most intense peaks (2θ = 5–70°), most intense first:
Position (°2θ)	d/Å	I_rel
25.05	3.555	100.0
29.57	3.021	87.5
45.04	2.013	61.9
32.36	2.767	36.1
55.82	1.647	32.6
46.62	1.948	30.5
27.07	3.294	28.8
49.41	1.845	21.6
31.63	2.829	19.0
23.49	3.788	17.2